For ScHgRu2, the GGA-PBE geometry in Alexandria gives the simulated XRD peak list in this record (Cu Kα (weighted mean of Kα1 and Kα2)).
Neutral-atom scattering factors, no anomalous dispersion.

Structural model:
Unit cell a=2.9986 b=3.8990 c=5.8357 alpha=90.00 beta=90.00 gamma=90.00
Space group Pmm2 (No. 25)
Inequivalent atoms, fractional coordinates:
Sc  0.0000  0.0000  0.0000 x1
Hg  0.5000  0.5000  0.7173 x1
Ru  0.0000  0.0000  0.4342 x1
Ru  0.5000  0.5000  0.2422 x1

Most intense lines, 2θ = 15–90°, low angle first:
2theta	I_rel
15.18	21
22.81	21
27.51	20
37.85	100
38.54	88
43.26	63
46.59	28
65.45	36
75.32	24
76.63	18

For Sm6Hg2Ru, the GGA-PBE geometry in Alexandria gives the simulated XRD peak list in this record (Cu Kα (weighted mean of Kα1 and Kα2)).
Neutral-atom scattering factors, no anomalous dispersion.

Structural model:
Unit cell a=3.8773 b=15.3970 c=8.5377 alpha=90.00 beta=90.00 gamma=90.00
Space group Amm2 (No. 38)
Inequivalent atoms, fractional coordinates:
Sm  0.0000  0.0000  0.0000 x2
Sm  0.0000  0.1266  0.6617 x4
Sm  0.5000  0.0000  0.3754 x2
Sm  0.5000  0.1980  0.9867 x4
Hg  0.0000  0.1640  0.2848 x4
Ru  0.5000  0.0000  0.7364 x2

Most intense lines, 2θ = 15–90°, low angle first:
2theta	I_rel
30.74	100
31.16	32
31.29	27
31.98	40
32.78	37
33.32	67
34.97	28
36.09	32
39.15	24
46.86	27

For Sm12HgRu6, the GGA-PBE geometry in Alexandria gives the simulated XRD peak list in this record (Cu Kα (weighted mean of Kα1 and Kα2)).
Neutral-atom scattering factors, no anomalous dispersion.

Structural model:
Unit cell a=10.0295 b=10.0295 c=10.0295 alpha=90.00 beta=90.00 gamma=90.00
Space group Im-3 (No. 204)
Inequivalent atoms, fractional coordinates:
Sm  0.0000  0.1968  0.2975 x24
Hg  0.0000  0.0000  0.0000 x2
Ru  0.0000  0.3776  0.5000 x12

Most intense lines, 2θ = 15–90°, low angle first:
2theta	I_rel
28.14	16
30.88	48
33.43	100
35.81	24
46.15	28
53.26	24
56.57	32
65.85	21
81.42	14
82.79	16

For Tb8Hg2Ru3, the GGA-PBE geometry in Alexandria gives the simulated XRD peak list in this record (Cu Kα (weighted mean of Kα1 and Kα2)).
Neutral-atom scattering factors, no anomalous dispersion.

Structural model:
Unit cell a=9.8142 b=14.4548 c=4.9395 alpha=90.00 beta=90.00 gamma=90.00
Space group Cmmm (No. 65)
Inequivalent atoms, fractional coordinates:
Tb  0.0000  0.1120  0.0000 x4
Tb  0.0000  0.3857  0.0000 x4
Tb  0.2472  0.3876  0.5000 x8
Hg  0.0000  0.2459  0.5000 x4
Ru  0.0000  0.5000  0.5000 x2
Ru  0.2491  0.5000  0.0000 x4

Most intense lines, 2θ = 15–90°, low angle first:
2theta	I_rel
21.84	24
25.59	10
35.82	100
36.38	26
36.63	25
52.58	18
65.09	18
65.42	17
75.90	9
88.50	8

For Tb5Hg2Ru, the GGA-PBE geometry in Alexandria gives the simulated XRD peak list in this record (Cu Kα (weighted mean of Kα1 and Kα2)).
Neutral-atom scattering factors, no anomalous dispersion.

Structural model:
Unit cell a=7.4096 b=11.9635 c=4.8386 alpha=90.00 beta=90.00 gamma=90.00
Space group Pbam (No. 55)
Inequivalent atoms, fractional coordinates:
Tb  0.0000  0.0000  0.0000 x2
Tb  0.1437  0.2960  0.0000 x4
Tb  0.1783  0.5805  0.5000 x4
Hg  0.0771  0.8368  0.5000 x4
Ru  0.0000  0.5000  0.0000 x2

Most intense lines, 2θ = 15–90°, low angle first:
2theta	I_rel
31.31	100
31.48	65
32.28	38
33.00	20
33.96	47
35.28	43
37.16	67
43.91	22
50.03	23
63.41	23

For Tl2HgRu, the GGA-PBE geometry in Alexandria gives the simulated XRD peak list in this record (Cu Kα (weighted mean of Kα1 and Kα2)).
Neutral-atom scattering factors, no anomalous dispersion.

Structural model:
Unit cell a=4.4838 b=3.1790 c=7.4109 alpha=90.00 beta=107.58 gamma=90.00
Space group Pm (No. 6)
Inequivalent atoms, fractional coordinates:
Tl  0.0000  0.0000  0.0000 x1
Tl  0.3171  0.5000  0.6317 x1
Hg  0.6783  0.0000  0.3578 x1
Ru  0.5121  0.5000  0.0242 x1

Most intense lines, 2θ = 15–90°, low angle first:
2theta	I_rel
27.47	100
30.84	30
35.18	97
38.08	34
38.22	36
39.68	37
40.23	39
47.59	32
56.62	34
57.89	19

For Tm8HgRu2, the GGA-PBE geometry in Alexandria gives the simulated XRD peak list in this record (Cu Kα (weighted mean of Kα1 and Kα2)).
Neutral-atom scattering factors, no anomalous dispersion.

Structural model:
Unit cell a=5.1615 b=15.6313 c=6.8277 alpha=90.00 beta=90.00 gamma=90.00
Space group Imm2 (No. 44)
Inequivalent atoms, fractional coordinates:
Tm  0.0000  0.0000  0.0000 x2
Tm  0.0000  0.1107  0.4529 x4
Tm  0.0000  0.2886  0.1302 x4
Tm  0.0000  0.3352  0.5921 x4
Tm  0.0000  0.5000  0.2163 x2
Hg  0.0000  0.5000  0.7935 x2
Ru  0.0000  0.1702  0.8228 x4

Most intense lines, 2θ = 15–90°, low angle first:
2theta	I_rel
31.55	100
31.95	64
33.51	40
34.42	19
34.76	75
35.94	93
41.00	17
43.42	27
62.65	20
63.08	18

For HgRuW2, the GGA-PBE geometry in Alexandria gives the simulated XRD peak list in this record (Cu Kα (weighted mean of Kα1 and Kα2)).
Neutral-atom scattering factors, no anomalous dispersion.

Structural model:
Unit cell a=2.8504 b=4.0134 c=5.8926 alpha=90.00 beta=90.80 gamma=90.00
Space group Pm (No. 6)
Inequivalent atoms, fractional coordinates:
Hg  0.0000  0.0000  0.0000 x1
Ru  0.5009  0.5000  0.2856 x1
W  0.0232  0.0000  0.4868 x1
W  0.4759  0.5000  0.7183 x1

Most intense lines, 2θ = 15–90°, low angle first:
2theta	I_rel
37.88	100
38.75	100
43.89	33
44.54	31
45.18	33
64.82	21
65.32	20
77.77	12
78.53	12
79.07	13